# 1
For Ba2LaRuO6, DFT lattice parameters and positions (PBE) gives the computed X-ray diffraction stick pattern in this record (Cu Kα X-rays).
Kinematic intensities with the Lorentz-polarization factor, no thermal factor.

Most intense lines, 10 to 90 degrees two-theta, in order of falling intensity:
2θ/deg	intensity	index
29.08	100	1 1 0
29.38	99	1 0 4
41.81	57	0 2 4
51.74	41	2 1 4
51.56	22	3 0 0
52.29	19	0 1 8
68.93	18	3 -2 8
68.47	18	1 3 4
60.95	18	2 0 8
60.29	17	2 2 0

Cell and atoms:
a = 6.1407 Å, b = 6.1407 Å, c = 14.8221 Å
α = 90.00°, β = 90.00°, γ = 120.00°
Space group R-3 (No. 148, hexagonal axes)
Unique sites:
Ba (0.0000, 0.0000, 0.2480) (multiplicity 6)
La (0.0000, 0.0000, 0.5000) (multiplicity 3)
Ru (0.0000, 0.0000, 0.0000) (multiplicity 3)
O (0.0313, 0.5594, 0.7438) (multiplicity 18)

---

# 2
For AlCoW, DFT lattice parameters and positions (PBE) gives the computed X-ray diffraction stick pattern in this record (Cu Kα X-rays).
Kinematic intensities with the Lorentz-polarization factor, no thermal factor.

Most intense lines, 10 to 90 degrees two-theta, in order of falling intensity:
2θ/deg	intensity	index
40.94	100	3 1 1
44.34	82	2 1 3
37.42	61	0 1 3
43.73	46	2 2 0
44.56	44	1 2 2
41.16	41	3 0 2
21.08	40	0 1 1
36.70	39	0 2 0
31.34	31	2 1 1
21.48	23	0 0 2

Cell and atoms:
a = 7.760 Å, b = 4.897 Å, c = 8.275 Å
α = 90.00°, β = 90.00°, γ = 90.00°
Space group Amm2 (No. 38)
Unique sites:
Al (0.000, 0.243, 0.000) (multiplicity 4)
Al (0.264, 0.000, 0.601) (multiplicity 4)
Co (0.000, 0.000, 0.751) (multiplicity 2)
Co (0.500, 0.000, 0.420) (multiplicity 2)
Co (0.500, 0.235, 0.178) (multiplicity 4)
W (0.201, 0.000, 0.259) (multiplicity 4)
W (0.325, 0.000, 0.927) (multiplicity 4)

---

# 3
For KSbSe2, DFT lattice parameters and positions (PBE) gives the computed X-ray diffraction stick pattern in this record (Cu Kα X-rays).
Kinematic intensities with the Lorentz-polarization factor, no thermal factor.

Most intense lines, 10 to 90 degrees two-theta, in order of falling intensity:
2θ/deg	intensity	index
28.12	100	0 2 0
14.35	65	1 0 -1
29.70	49	0 1 -4
29.17	39	0 0 4
28.02	32	2 -1 0
36.38	27	2 0 -4
17.00	24	0 1 1
43.08	22	2 -1 4
13.94	16	0 1 0
44.94	15	2 -3 0

Cell and atoms:
a = 6.650 Å, b = 6.660 Å, c = 12.671 Å
α = 99.12°, β = 99.30°, γ = 103.06°
Space group P-1 (No. 2)
Unique sites:
K (0.066, 0.321, 0.153) (multiplicity 2)
K (0.420, 0.732, 0.589) (multiplicity 2)
Sb (0.078, 0.188, 0.646) (multiplicity 2)
Sb (0.498, 0.779, 0.086) (multiplicity 2)
Se (0.058, 0.206, 0.407) (multiplicity 2)
Se (0.108, 0.214, 0.877) (multiplicity 2)
Se (0.472, 0.820, 0.866) (multiplicity 2)
Se (0.485, 0.249, 0.675) (multiplicity 2)

---

# 4
For BiOF, DFT lattice parameters and positions (PBE) gives the computed X-ray diffraction stick pattern in this record (Cu Kα X-rays).
Kinematic intensities with the Lorentz-polarization factor, no thermal factor.

Most intense lines, 10 to 90 degrees two-theta, in order of falling intensity:
2θ/deg	intensity	index
30.36	100	1 1 1
26.74	93	1 0 2
27.04	41	0 1 1
42.92	40	0 1 3
27.28	38	2 0 0
51.60	34	2 1 3
38.79	32	2 1 1
57.65	29	1 2 2
36.94	25	2 1 0
54.47	21	3 1 2

Cell and atoms:
a = 6.538 Å, b = 3.644 Å, c = 7.749 Å
α = 90.00°, β = 90.00°, γ = 90.00°
Space group Pnma (No. 62)
Unique sites:
Bi (0.203, 0.250, 0.098) (multiplicity 4)
O (0.006, 0.250, 0.862) (multiplicity 4)
F (0.145, 0.250, 0.417) (multiplicity 4)

---

# 5
For Mg5Zn, DFT lattice parameters and positions (PBE) gives the computed X-ray diffraction stick pattern in this record (Cu Kα X-rays).
Kinematic intensities with the Lorentz-polarization factor, no thermal factor.

Most intense lines, 10 to 90 degrees two-theta, in order of falling intensity:
2θ/deg	intensity	index
37.94	100	1 1 1
34.95	28	0 0 2
33.52	27	1 1 0
19.17	20	1 0 0
64.66	19	1 1 3
71.29	19	3 0 2
49.20	18	1 1 2
25.91	17	1 0 1
59.92	16	3 0 0
73.15	13	2 2 1

Cell and atoms:
a = 5.3474 Å, b = 5.3474 Å, c = 5.1348 Å
α = 90.00°, β = 90.00°, γ = 120.00°
Space group P-62m (No. 189)
Unique sites:
Mg (0.0000, 0.6720, 0.0000) (multiplicity 3)
Mg (0.3333, 0.6667, 0.5000) (multiplicity 2)
Zn (0.0000, 0.0000, 0.5000) (multiplicity 1)

---

# 6
For Ce2S2O, DFT lattice parameters and positions (PBE) gives the computed X-ray diffraction stick pattern in this record (Cu Kα X-rays).
Kinematic intensities with the Lorentz-polarization factor, no thermal factor.

Most intense lines, 10 to 90 degrees two-theta, in order of falling intensity:
2θ/deg	intensity	index
28.97	100	2 1 1
27.87	85	0 2 1
26.33	72	2 1 -1
25.66	47	0 0 2
43.32	36	2 3 0
37.79	33	2 1 2
40.99	31	1 1 -3
19.76	29	1 1 -1
38.49	29	3 0 -2
33.60	24	2 1 -2

Cell and atoms:
a = 8.500 Å, b = 7.215 Å, c = 7.005 Å
α = 90.00°, β = 97.55°, γ = 90.00°
Space group P2_1/c (No. 14)
Unique sites:
Ce (0.085, 0.127, 0.305) (multiplicity 4)
Ce (0.361, 0.556, 0.247) (multiplicity 4)
S (0.169, 0.658, 0.549) (multiplicity 4)
S (0.419, 0.230, 0.474) (multiplicity 4)
O (0.115, 0.089, 0.649) (multiplicity 4)

---

# 7
For Ca3SiO5, DFT lattice parameters and positions (PBE) gives the computed X-ray diffraction stick pattern in this record (Cu Kα X-rays).
Kinematic intensities with the Lorentz-polarization factor, no thermal factor.

Most intense lines, 10 to 90 degrees two-theta, in order of falling intensity:
2θ/deg	intensity	index
32.76	100	2 0 1
28.43	57	2 0 0
32.21	48	0 0 2
50.34	46	2 2 0
43.49	43	2 0 2
57.79	33	2 0 3
46.35	25	3 0 1
14.10	23	1 0 0
61.03	23	2 2 2
41.37	16	2 1 1

Cell and atoms:
a = 7.2509 Å, b = 7.2509 Å, c = 5.5578 Å
α = 90.00°, β = 90.00°, γ = 120.00°
Space group P6_3mc (No. 186)
Unique sites:
Ca (0.1510, 0.3021, 0.0000) (multiplicity 6)
Si (0.3333, 0.6667, 0.4699) (multiplicity 2)
O (0.0000, 0.0000, 0.2587) (multiplicity 2)
O (0.2093, 0.4186, 0.5699) (multiplicity 6)
O (0.3333, 0.6667, 0.1689) (multiplicity 2)